1.
The following is a theoretical powder diffractogram of Ho4Hg3. It was derived from the PBE geometry in Alexandria, using a wavelength of 1.5418 Å.
Intensities are scaled so that the largest is 100.

Atomic structure:
```
data_Ho4Hg3
_chemical_formula_sum 'Ho12 Hg9'
_symmetry_space_group_name_H-M 'R -3 m'
_symmetry_Int_Tables_number 166
_symmetry_space_group_name_Hall '-R 3 2"'
_cell_length_a 5.1649
_cell_length_b 5.1649
_cell_length_c 25.2242
_cell_angle_alpha 90.00
_cell_angle_beta 90.00
_cell_angle_gamma 120.00
loop_
_atom_site_label
_atom_site_fract_x
_atom_site_fract_y
_atom_site_fract_z
Ho1 0.0000 0.0000 0.1210
Ho2 0.0000 0.0000 0.3727
Hg1 0.0000 0.0000 0.2520
Hg2 0.0000 0.0000 0.5000
```

Most intense lines, 10° ≤ 2θ ≤ 80°, low angle first:
d [Å]	2θ/deg	I/Imax
8.408	10.52	4
4.404	20.16	5
4.212	21.09	6
3.347	26.63	5
2.580	34.77	100
1.824	50.00	18
1.490	62.30	28
1.487	62.46	9
1.291	73.32	6
1.289	73.49	5



2.
The following is a theoretical powder diffractogram of Ca2ZnHg. It was derived from the PBE geometry in Alexandria, using a wavelength of 1.5418 Å.
Intensities are scaled so that the largest is 100.

Atomic structure:
```
data_Ca2ZnHg
_chemical_formula_sum 'Ca8 Zn4 Hg4'
_symmetry_space_group_name_H-M 'F m -3 m'
_symmetry_Int_Tables_number 225
_symmetry_space_group_name_Hall '-F 4 2 3'
_cell_length_a 7.478
_cell_length_b 7.478
_cell_length_c 7.478
_cell_angle_alpha 90.00
_cell_angle_beta 90.00
_cell_angle_gamma 90.00
loop_
_atom_site_label
_atom_site_fract_x
_atom_site_fract_y
_atom_site_fract_z
Ca1 0.250 0.250 0.250
Zn1 0.000 0.000 0.000
Hg1 0.000 0.000 0.500
```

Most intense lines, 10° ≤ 2θ ≤ 80°, low angle first:
d [Å]	2θ/deg	I/Imax
4.317	20.57	29
3.739	23.80	32
2.644	33.91	100
2.255	39.99	17
2.159	41.85	11
1.869	48.71	18
1.715	53.41	8
1.672	54.91	15
1.526	60.67	36
1.322	71.35	11



3.
The following is a theoretical powder diffractogram of ThTeIr. It was derived from the PBE geometry in Alexandria, using a wavelength of 1.5418 Å.
Intensities are scaled so that the largest is 100.

Atomic structure:
```
data_ThTeIr
_chemical_formula_sum 'Th6 Te6 Ir6'
_symmetry_space_group_name_H-M 'R -3 m'
_symmetry_Int_Tables_number 166
_symmetry_space_group_name_Hall '-R 3 2"'
_cell_length_a 4.3822
_cell_length_b 4.3822
_cell_length_c 34.1584
_cell_angle_alpha 90.00
_cell_angle_beta 90.00
_cell_angle_gamma 120.00
loop_
_atom_site_label
_atom_site_fract_x
_atom_site_fract_y
_atom_site_fract_z
Th1 0.0000 0.0000 0.0570
Te1 0.0000 0.0000 0.2209
Ir1 0.0000 0.0000 0.3346
```

Most intense lines, 10° ≤ 2θ ≤ 80°, low angle first:
d [Å]	2θ/deg	I/Imax
3.772	23.59	20
2.996	29.82	100
2.837	31.54	44
2.539	35.35	31
2.403	37.42	41
2.191	41.20	75
2.152	41.99	27
1.897	47.95	22
1.769	51.69	22
1.434	65.02	41



What did the first record say?
The following is a theoretical powder diffractogram of Ho4Hg3. It was derived from the PBE geometry in Alexandria, using a wavelength of 1.5418 Å.
Intensities are scaled so that the largest is 100.

Atomic structure:
```
data_Ho4Hg3
_chemical_formula_sum 'Ho12 Hg9'
_symmetry_space_group_name_H-M 'R -3 m'
_symmetry_Int_Tables_number 166
_symmetry_space_group_name_Hall '-R 3 2"'
_cell_length_a 5.1649
_cell_length_b 5.1649
_cell_length_c 25.2242
_cell_angle_alpha 90.00
_cell_angle_beta 90.00
_cell_angle_gamma 120.00
loop_
_atom_site_label
_atom_site_fract_x
_atom_site_fract_y
_atom_site_fract_z
Ho1 0.0000 0.0000 0.1210
Ho2 0.0000 0.0000 0.3727
Hg1 0.0000 0.0000 0.2520
Hg2 0.0000 0.0000 0.5000
```

Most intense lines, 10° ≤ 2θ ≤ 80°, low angle first:
d [Å]	2θ/deg	I/Imax
8.408	10.52	4
4.404	20.16	5
4.212	21.09	6
3.347	26.63	5
2.580	34.77	100
1.824	50.00	18
1.490	62.30	28
1.487	62.46	9
1.291	73.32	6
1.289	73.49	5